Diffraction record for Li2ZrI6. The powder diffraction line list is calculated, not measured: it uses a DFT-relaxed cell (GGA-PBE, Alexandria) and copper Kα.
Intensities are scaled so that the largest is 100.

Most intense lines, 2θ = 10–80°, in order of rising 2θ:
2theta	I_rel
13.1	56
23.4	33
25.1	59
26.5	100
26.6	34
27.1	69
29.5	25
33.8	40
44.2	30
44.8	24

Cell lengths 7.2457, 7.9875, 14.2098 Å; angles 90.00, 117.88, 90.00 degrees
Fractional positions:
Li 0.1234 0.0798 0.1359
Li 0.1234 0.4202 0.6359
Li 0.8766 0.5798 0.3641
Li 0.8766 0.9202 0.8641
Zr 0.5000 0.0000 0.0000
Zr 0.5000 0.5000 0.5000
I 0.1438 0.1072 0.8036
I 0.1438 0.3928 0.3036
I 0.2268 0.7113 0.5458
I 0.2268 0.7887 0.0458
I 0.4319 0.2291 0.6127
I 0.4319 0.2709 0.1127
I 0.5681 0.7291 0.8873
I 0.5681 0.7709 0.3873
I 0.7732 0.2113 0.9542
I 0.7732 0.2887 0.4542
I 0.8562 0.6072 0.6964
I 0.8562 0.8928 0.1964

Diffraction record for LuI3O11. The powder diffraction line list is calculated, not measured: it uses a DFT-relaxed cell (GGA-PBE, Alexandria) and copper Kα.
Intensities are scaled so that the largest is 100.

Most intense lines, 2θ = 10–80°, in order of rising 2θ:
2theta	I_rel
12.0	55
15.6	100
16.8	29
26.3	65
27.2	60
27.9	94
28.4	53
31.5	45
32.6	58
53.6	23

Cell lengths 7.2350, 8.0675, 9.7196 Å; angles 75.93, 84.13, 69.53 degrees
Fractional positions:
Lu 0.2356 0.1274 0.1451
Lu 0.7644 0.8726 0.8549
I 0.1910 0.7764 0.4849
I 0.2472 0.9058 0.8470
I 0.3899 0.3478 0.8054
I 0.6101 0.6522 0.1946
I 0.7528 0.0942 0.1530
I 0.8090 0.2236 0.5151
O 0.1100 0.7476 0.8714
O 0.1145 0.0008 0.3524
O 0.1736 0.3676 0.2936
O 0.1996 0.3144 0.9406
O 0.2154 0.9346 0.0331
O 0.2253 0.4569 0.6577
O 0.2277 0.3208 0.4176
O 0.3504 0.6377 0.3678
O 0.3503 0.8206 0.5936
O 0.4790 0.1035 0.7927
O 0.4965 0.2472 0.1294
O 0.5035 0.7528 0.8706
O 0.5210 0.8965 0.2073
O 0.6497 0.1794 0.4064
O 0.6496 0.3623 0.6322
O 0.7723 0.6792 0.5824
O 0.7747 0.5431 0.3423
O 0.7846 0.0654 0.9669
O 0.8004 0.6856 0.0594
O 0.8264 0.6324 0.7064
O 0.8855 0.9992 0.6476
O 0.8900 0.2524 0.1286

Diffraction record for LuSbI. The powder diffraction line list is calculated, not measured: it uses a DFT-relaxed cell (GGA-PBE, Alexandria) and copper Kα.
Intensities are scaled so that the largest is 100.

Most intense lines, 2θ = 10–80°, in order of rising 2θ:
2theta	I_rel
24.5	13
31.6	100
34.3	94
42.6	19
47.3	32
50.2	11
59.8	32
61.5	17
62.2	33
72.4	11

Cell lengths 5.2216, 5.2216, 3.6368 Å; angles 90.00, 90.00, 120.00 degrees
Fractional positions:
Lu 0.0000 0.0000 0.0000
Sb 0.6667 0.3333 0.5000
I 0.3333 0.6667 0.0000

Diffraction record for MgI2. The powder diffraction line list is calculated, not measured: it uses a DFT-relaxed cell (GGA-PBE, Alexandria) and copper Kα.
Intensities are scaled so that the largest is 100.

Most intense lines, 2θ = 10–80°, in order of rising 2θ:
2theta	I_rel
11.2	49
22.5	51
25.6	71
27.0	100
28.8	75
31.0	27
36.2	27
39.2	30
43.0	54
49.1	49

Cell lengths 4.2034, 4.2034, 23.7006 Å; angles 90.00, 90.00, 120.00 degrees
Fractional positions:
Mg 0.0000 0.0000 0.0000
Mg 0.3333 0.6667 0.6668
Mg 0.6667 0.3333 0.3332
I 0.0000 0.0000 0.2625
I 0.0000 0.0000 0.7375
I 0.3333 0.6667 0.0707
I 0.3333 0.6667 0.4039
I 0.6667 0.3333 0.5961
I 0.6667 0.3333 0.9293

Diffraction record for RbMgMn2I8. The powder diffraction line list is calculated, not measured: it uses a DFT-relaxed cell (GGA-PBE, Alexandria) and copper Kα.
Intensities are scaled so that the largest is 100.

Most intense lines, 2θ = 10–80°, in order of rising 2θ:
2theta	I_rel
25.4	36
25.6	100
29.6	63
42.2	34
42.4	35
49.9	14
50.1	47
52.5	12
61.4	11
67.7	12

Cell lengths 11.3371, 11.3371, 11.3371 Å; angles 38.01, 38.01, 38.01 degrees
Fractional positions:
Rb 0.0000 0.0000 0.0000
Mg 0.5000 0.5000 0.5000
Mn 0.2456 0.2456 0.2456
Mn 0.7544 0.7544 0.7544
I 0.1269 0.4342 0.7735
I 0.2265 0.8731 0.5658
I 0.3284 0.3284 0.3284
I 0.4342 0.7735 0.1269
I 0.5658 0.2265 0.8731
I 0.6716 0.6716 0.6716
I 0.7735 0.1269 0.4342
I 0.8731 0.5658 0.2265

Diffraction record for Na4MgI6. The powder diffraction line list is calculated, not measured: it uses a DFT-relaxed cell (GGA-PBE, Alexandria) and copper Kα.
Intensities are scaled so that the largest is 100.

Most intense lines, 2θ = 10–80°, in order of rising 2θ:
2theta	I_rel
20.4	46
23.6	53
23.8	100
23.9	38
24.0	41
24.2	44
24.6	39
24.9	61
25.4	34
40.6	33

Cell lengths 8.6866, 8.6866, 15.5110 Å; angles 107.96, 107.96, 60.25 degrees
Fractional positions:
Na 0.0958 0.9042 0.5000
Na 0.2543 0.4769 0.0246
Na 0.4739 0.7956 0.8603
Na 0.4769 0.2543 0.5246
Na 0.6990 0.9483 0.1987
Na 0.7956 0.4739 0.3603
Na 0.9042 0.0958 0.0000
Na 0.9483 0.6990 0.6987
Mg 0.2908 0.8517 0.2649
Mg 0.8517 0.2908 0.7649
I 0.0746 0.1790 0.2130
I 0.0855 0.5616 0.5152
I 0.1032 0.6507 0.2139
I 0.1722 0.7352 0.8966
I 0.1790 0.0746 0.7130
I 0.4363 0.8736 0.4493
I 0.5616 0.0855 0.0152
I 0.5775 0.6465 0.1754
I 0.6465 0.5775 0.6754
I 0.6507 0.1032 0.7139
I 0.7352 0.1722 0.3966
I 0.8736 0.4363 0.9493

Diffraction record for Na2MgI4. The powder diffraction line list is calculated, not measured: it uses a DFT-relaxed cell (GGA-PBE, Alexandria) and copper Kα.
Intensities are scaled so that the largest is 100.

Most intense lines, 2θ = 10–80°, in order of rising 2θ:
2theta	I_rel
13.9	9
22.2	100
24.1	27
28.6	9
34.3	18
37.7	30
41.2	31
47.0	12
59.5	10
63.7	8

Cell lengths 8.1409, 8.1409, 8.1409 Å; angles 126.00, 126.00, 79.88 degrees
Fractional positions:
Na 0.2500 0.7500 0.5000
Na 0.7500 0.2500 0.5000
Mg 0.0000 0.0000 0.0000
I 0.1074 0.6595 0.0000
I 0.3405 0.3405 0.4478
I 0.6595 0.1074 0.0000
I 0.8926 0.8926 0.5522

Diffraction record for Rb2NaMgI6. The powder diffraction line list is calculated, not measured: it uses a DFT-relaxed cell (GGA-PBE, Alexandria) and copper Kα.
Intensities are scaled so that the largest is 100.

Most intense lines, 2θ = 10–80°, in order of rising 2θ:
2theta	I_rel
23.8	92
24.4	97
28.1	100
29.4	29
29.6	25
30.7	95
43.6	32
46.1	26
55.0	27
55.3	30

Cell lengths 8.4076, 8.4076, 9.3538 Å; angles 122.50, 122.50, 52.70 degrees
Fractional positions:
Rb 0.2471 0.2471 0.2673
Rb 0.7529 0.7529 0.7327
Na 0.0000 0.0000 0.5000
Mg 0.5000 0.5000 0.0000
I 0.1956 0.6972 0.1790
I 0.2638 0.2638 0.6794
I 0.3028 0.8044 0.8210
I 0.6972 0.1956 0.1790
I 0.7362 0.7362 0.3206
I 0.8044 0.3028 0.8210